Structure and simulated X-ray powder pattern of Mg5Si6 (DFT lattice parameters and positions (PBE); Cu Ka).

Top 10 peaks for 10 to 80 degrees two-theta, sorted by position:
33.8°, intensity 71.1, (1 2 0); 35.1°, intensity 44.9, (0 1 -5); 35.4°, intensity 36.7, (0 1 5); 35.5°, intensity 30.3, (1 -1 4); 36.3°, intensity 66.0, (2 0 1); 36.9°, intensity 30.5, (2 0 -1); 37.0°, intensity 100.0, (-1 1 4); 37.7°, intensity 93.4, (1 1 5); 39.0°, intensity 24.6, (1 1 -5); 39.9°, intensity 31.3, (1 -2 1)

Crystal structure
```
data_Mg5Si6
_cell_length_a 5.064
_cell_length_b 5.698
_cell_length_c 14.310
_cell_angle_alpha 90.00
_cell_angle_beta 87.28
_cell_angle_gamma 79.94
_symmetry_space_group_name_H-M 'P 1'
_symmetry_Int_Tables_number 1
_symmetry_space_group_name_Hall 'P 1'
loop_
_atom_site_label
_atom_site_type_symbol
_atom_site_fract_x
_atom_site_fract_y
_atom_site_fract_z
_atom_site_occupancy
Mg1 Mg 0.000 0.000 0.000 1
Mg2 Mg 0.054 0.500 0.114 1
Mg3 Mg 0.124 0.513 0.899 1
Mg4 Mg 0.275 0.281 0.296 1
Mg5 Mg 0.367 0.727 0.629 1
Mg6 Mg 0.488 0.810 0.163 1
Mg7 Mg 0.658 0.327 0.824 1
Mg8 Mg 0.752 0.134 0.612 1
Mg9 Mg 0.812 0.097 0.390 1
Mg10 Mg 0.906 0.600 0.497 1
Si1 Si 0.048 0.932 0.791 1
Si2 Si 0.213 0.274 0.723 1
Si3 Si 0.262 0.054 0.487 1
Si4 Si 0.368 0.746 0.360 1
Si5 Si 0.440 0.424 0.475 1
Si6 Si 0.466 0.168 0.992 1
Si7 Si 0.550 0.854 0.811 1
Si8 Si 0.587 0.716 0.973 1
Si9 Si 0.611 0.296 0.141 1
Si10 Si 0.869 0.668 0.308 1
Si11 Si 0.876 0.633 0.693 1
Si12 Si 0.958 0.986 0.202 1
```